[1]
The following is a theoretical powder X-ray diffraction pattern of Dy3Zn2Rh6. It was derived from a DFT-relaxed cell (GGA-PBE, Alexandria), using Cu Kα, 1.54184 Å.
Intensities are scaled so that the largest is 100.

Structure:
a = 8.080 Å, b = 8.080 Å, c = 8.080 Å
α = 109.47°, β = 109.47°, γ = 109.47°
Sites, in units of the cell vectors:
Dy: 0.000 0.292 0.292
Dy: 0.000 0.708 0.708
Dy: 0.292 0.000 0.292
Dy: 0.292 0.292 0.000
Dy: 0.708 0.000 0.708
Dy: 0.708 0.708 0.000
Zn: 0.000 0.000 0.500
Zn: 0.000 0.500 0.000
Zn: 0.500 0.000 0.000
Zn: 0.500 0.500 0.500
Rh: 0.000 0.344 0.656
Rh: 0.000 0.656 0.344
Rh: 0.312 0.656 0.656
Rh: 0.344 0.000 0.656
Rh: 0.344 0.344 0.688
Rh: 0.344 0.656 0.000
Rh: 0.344 0.688 0.344
Rh: 0.656 0.000 0.344
Rh: 0.656 0.312 0.656
Rh: 0.656 0.344 0.000
Rh: 0.656 0.656 0.312
Rh: 0.688 0.344 0.344

Most intense lines, 2θ from 10° to 90°, low angle first:
13.42 deg, intensity 13; 30.29 deg, intensity 17; 33.26 deg, intensity 23; 36.02 deg, intensity 24; 38.60 deg, intensity 11; 41.04 deg, intensity 100; 53.82 deg, intensity 11; 59.44 deg, intensity 10; 61.24 deg, intensity 12; 66.47 deg, intensity 12; 74.77 deg, intensity 27; 84.33 deg, intensity 12

---

[2]
The following is a theoretical powder X-ray diffraction pattern of Dy3Zn3Rh2. It was derived from a DFT-relaxed cell (GGA-PBE, Alexandria), using Cu Kα, 1.54184 Å.
Intensities are scaled so that the largest is 100.

Structure:
a = 7.340 Å, b = 16.207 Å, c = 5.471 Å
α = 90.00°, β = 90.00°, γ = 90.00°
Sites, in units of the cell vectors:
Dy: 0.038 0.107 0.115
Dy: 0.038 0.393 0.115
Dy: 0.166 0.250 0.646
Dy: 0.334 0.750 0.146
Dy: 0.462 0.607 0.615
Dy: 0.462 0.893 0.615
Dy: 0.538 0.107 0.385
Dy: 0.538 0.393 0.385
Dy: 0.666 0.250 0.854
Dy: 0.834 0.750 0.354
Dy: 0.962 0.607 0.885
Dy: 0.962 0.893 0.885
Zn: 0.173 0.029 0.595
Zn: 0.173 0.471 0.595
Zn: 0.175 0.750 0.641
Zn: 0.325 0.250 0.141
Zn: 0.327 0.529 0.095
Zn: 0.327 0.971 0.095
Zn: 0.673 0.029 0.905
Zn: 0.673 0.471 0.905
Zn: 0.675 0.750 0.859
Zn: 0.825 0.250 0.359
Zn: 0.827 0.529 0.405
Zn: 0.827 0.971 0.405
Rh: 0.120 0.617 0.371
Rh: 0.120 0.883 0.371
Rh: 0.380 0.117 0.871
Rh: 0.380 0.383 0.871
Rh: 0.620 0.617 0.129
Rh: 0.620 0.883 0.129
Rh: 0.880 0.117 0.629
Rh: 0.880 0.383 0.629

Most intense lines, 2θ from 10° to 90°, low angle first:
30.02 deg, intensity 36; 32.93 deg, intensity 61; 33.17 deg, intensity 28; 34.40 deg, intensity 19; 35.46 deg, intensity 61; 36.92 deg, intensity 100; 38.89 deg, intensity 58; 40.38 deg, intensity 49; 41.70 deg, intensity 41; 44.73 deg, intensity 26; 53.32 deg, intensity 29; 77.46 deg, intensity 21

---

[3]
The following is a theoretical powder X-ray diffraction pattern of Dy5ZnRh6. It was derived from a DFT-relaxed cell (GGA-PBE, Alexandria), using Cu Kα, 1.54184 Å.
Intensities are scaled so that the largest is 100.

Structure:
a = 8.204 Å, b = 8.204 Å, c = 4.714 Å
α = 106.63°, β = 106.63°, γ = 49.15°
Sites, in units of the cell vectors:
Dy: 0.000 0.000 0.000
Dy: 0.172 0.172 0.672
Dy: 0.349 0.349 0.349
Dy: 0.651 0.651 0.651
Dy: 0.828 0.828 0.328
Zn: 0.500 0.500 0.000
Rh: 0.087 0.585 0.836
Rh: 0.241 0.759 0.500
Rh: 0.415 0.913 0.164
Rh: 0.585 0.087 0.836
Rh: 0.759 0.241 0.500
Rh: 0.913 0.415 0.164

Most intense lines, 2θ from 10° to 90°, low angle first:
26.17 deg, intensity 4; 26.72 deg, intensity 3; 34.27 deg, intensity 3; 37.71 deg, intensity 100; 38.15 deg, intensity 48; 53.73 deg, intensity 9; 55.06 deg, intensity 16; 67.79 deg, intensity 17; 68.64 deg, intensity 23; 68.73 deg, intensity 8; 80.54 deg, intensity 10; 81.71 deg, intensity 3

---

[4]
The following is a theoretical powder X-ray diffraction pattern of Dy3Zn2Rh7. It was derived from a DFT-relaxed cell (GGA-PBE, Alexandria), using Cu Kα, 1.54184 Å.
Intensities are scaled so that the largest is 100.

Structure:
a = 8.873 Å, b = 8.873 Å, c = 8.873 Å
α = 35.34°, β = 35.34°, γ = 35.34°
Sites, in units of the cell vectors:
Dy: 0.000 0.000 0.000
Dy: 0.141 0.141 0.141
Dy: 0.859 0.859 0.859
Zn: 0.335 0.335 0.335
Zn: 0.665 0.665 0.665
Rh: 0.078 0.585 0.585
Rh: 0.415 0.415 0.922
Rh: 0.415 0.922 0.415
Rh: 0.500 0.500 0.500
Rh: 0.585 0.078 0.585
Rh: 0.585 0.585 0.078
Rh: 0.922 0.415 0.415

Most intense lines, 2θ from 10° to 90°, low angle first:
31.61 deg, intensity 33; 33.27 deg, intensity 35; 34.62 deg, intensity 35; 38.78 deg, intensity 46; 39.30 deg, intensity 17; 39.89 deg, intensity 100; 42.80 deg, intensity 27; 43.56 deg, intensity 17; 63.93 deg, intensity 24; 66.02 deg, intensity 20; 69.85 deg, intensity 27; 86.04 deg, intensity 14